The following is a calculated powder diffraction line list of Ce3AsS3. It was derived from a cell relaxed with PBE, using Cu Kα (λ = 1.5418 Å).

Structure:
abc: 7.4597 7.4597 7.4089
angles: 109.49 109.49 109.71
Positions (direct):
1 Ce 0.0631 0.9369 0.5000
2 Ce 0.3167 0.5609 0.6265
3 Ce 0.4340 0.8068 0.2537
4 Ce 0.5609 0.3167 0.1265
5 Ce 0.8068 0.4340 0.7537
6 Ce 0.9369 0.0631 0.0000
7 As 0.1869 0.8409 0.8769
8 As 0.8409 0.1869 0.3769
9 S 0.0363 0.5373 0.2265
10 S 0.1865 0.3371 0.8778
11 S 0.3371 0.1865 0.3778
12 S 0.5373 0.0363 0.7265
13 S 0.6854 0.6861 0.0263
14 S 0.6861 0.6854 0.5263

Largest 6 diffraction maxima, sorted by position, 10 to 90 degrees two-theta:
2theta  d_spacing  Rel. int.
25.3  3.515  63
25.5  3.495  81
33.0  2.718  100
33.0  2.714  63
39.3  2.290  42
47.4  1.920  45

***

The following is a calculated powder diffraction line list of BeAuO3. It was derived from a cell relaxed with PBE, using Cu Kα (λ = 1.5418 Å).

Structure:
abc: 3.5710 3.5710 3.5710
angles: 90.00 90.00 90.00
Positions (direct):
1 Be 0.0000 0.0000 0.0000
2 Au 0.5000 0.5000 0.5000
3 O 0.0000 0.0000 0.5000
4 O 0.0000 0.5000 0.0000
5 O 0.5000 0.0000 0.0000

Largest 6 diffraction maxima, sorted by position, 10 to 90 degrees two-theta:
2theta  d_spacing  Rel. int.
24.9  3.571  100
35.6  2.525  96
43.9  2.062  58
51.2  1.785  30
57.7  1.597  44
63.8  1.458  37